Simulated powder diffraction line list of TlHg5Br11 for Cu Kα, 1.54184 Å, from a cell relaxed with PBE.

```
data_TlHg5Br11
_chemical_formula_sum 'Tl2 Hg10 Br22'
_cell_length_a 12.548
_cell_length_b 15.906
_cell_length_c 7.046
_cell_angle_alpha 90.00
_cell_angle_beta 118.48
_cell_angle_gamma 90.00
_space_group_name_H-M_alt 'C 1 2/m 1'
_space_group_IT_number 12
_space_group_name_Hall '-C 2y'
loop_
_atom_site_label
_atom_site_type_symbol
_atom_site_fract_x
_atom_site_fract_y
_atom_site_fract_z
_atom_site_occupancy
Tl1 Tl 0.000 0.000 0.000 1
Hg1 Hg 0.000 0.500 0.000 1
Hg2 Hg 0.187 0.156 0.673 1
Br1 Br 0.000 0.000 0.500 1
Br2 Br 0.079 0.207 0.294 1
Br3 Br 0.143 0.500 0.395 1
Br4 Br 0.201 0.377 0.937 1
```

Main lines, in order of falling intensity (10 to 80 degrees two-theta):
27.34 deg, d = 3.262 Å, I = 100.0, (3 3 -1); 27.66 deg, d = 3.225 Å, I = 56.2, (2 4 0); 28.47 deg, d = 3.135 Å, I = 49.9, (4 0 -1); 13.80 deg, d = 6.417 Å, I = 44.8, (1 1 -1); 21.00 deg, d = 4.229 Å, I = 29.2, (1 3 -1); 30.99 deg, d = 2.885 Å, I = 26.3, (0 2 2); 18.57 deg, d = 4.778 Å, I = 22.2, (1 3 0); 33.81 deg, d = 2.651 Å, I = 22.1, (0 6 0); 43.32 deg, d = 2.089 Å, I = 21.6, (4 2 1); 19.59 deg, d = 4.532 Å, I = 21.6, (2 2 0)

***

Simulated powder diffraction line list of Tl4Hg2Br9 for Cu Kα, 1.54184 Å, from a cell relaxed with PBE.

```
data_Tl4Hg2Br9
_chemical_formula_sum 'Tl8 Hg4 Br18'
_cell_length_a 7.522
_cell_length_b 7.788
_cell_length_c 22.532
_cell_angle_alpha 84.71
_cell_angle_beta 81.10
_cell_angle_gamma 64.95
_space_group_name_H-M_alt 'P -1'
_space_group_IT_number 2
_space_group_name_Hall '-P 1'
loop_
_atom_site_label
_atom_site_type_symbol
_atom_site_fract_x
_atom_site_fract_y
_atom_site_fract_z
_atom_site_occupancy
Tl1 Tl 0.113 0.233 0.332 1
Tl2 Tl 0.176 0.175 0.021 1
Tl3 Tl 0.183 0.154 0.522 1
Tl4 Tl 0.230 0.101 0.809 1
Hg1 Hg 0.417 0.648 0.330 1
Hg2 Hg 0.429 0.494 0.123 1
Br1 Br 0.073 0.566 0.090 1
Br2 Br 0.128 0.909 0.267 1
Br3 Br 0.163 0.759 0.562 1
Br4 Br 0.214 0.501 0.407 1
Br5 Br 0.234 0.488 0.734 1
Br6 Br 0.266 0.812 0.930 1
Br7 Br 0.396 0.318 0.232 1
Br8 Br 0.454 0.927 0.392 1
Br9 Br 0.492 0.803 0.103 1
```

Main lines, in order of falling intensity (10 to 80 degrees two-theta):
19.55 deg, d = 4.540 Å, I = 100.0, (1 1 4); 21.96 deg, d = 4.048 Å, I = 97.1, (1 0 -4); 23.99 deg, d = 3.709 Å, I = 79.2, (2 1 0); 17.01 deg, d = 5.213 Å, I = 65.2, (1 1 -2); 29.10 deg, d = 3.069 Å, I = 59.4, (2 0 4); 36.86 deg, d = 2.438 Å, I = 51.9, (2 1 -6); 23.09 deg, d = 3.853 Å, I = 51.5, (1 2 0); 29.59 deg, d = 3.019 Å, I = 48.8, (0 2 4); 20.63 deg, d = 4.305 Å, I = 47.2, (0 1 -4); 14.44 deg, d = 6.136 Å, I = 44.0, (1 0 2)

***

Simulated powder diffraction line list of Tl2HgBr5 for Cu Kα, 1.54184 Å, from a cell relaxed with PBE.

```
data_Tl2HgBr5
_chemical_formula_sum 'Tl8 Hg4 Br20'
_cell_length_a 6.055
_cell_length_b 14.670
_cell_length_c 14.361
_cell_angle_alpha 90.00
_cell_angle_beta 90.00
_cell_angle_gamma 90.00
_space_group_name_H-M_alt 'C m c m'
_space_group_IT_number 63
_space_group_name_Hall '-C 2c 2'
loop_
_atom_site_label
_atom_site_type_symbol
_atom_site_fract_x
_atom_site_fract_y
_atom_site_fract_z
_atom_site_occupancy
Tl1 Tl 0.000 0.152 0.077 1
Hg1 Hg 0.000 0.190 0.750 1
Br1 Br 0.000 0.056 0.615 1
Br2 Br 0.000 0.289 0.250 1
Br3 Br 0.000 0.320 0.600 1
```

Main lines, in order of falling intensity (10 to 80 degrees two-theta):
22.17 deg, d = 4.009 Å, I = 100.0, (0 2 3); 15.83 deg, d = 5.597 Å, I = 87.3, (1 1 0); 30.71 deg, d = 2.911 Å, I = 87.1, (0 4 3); 29.51 deg, d = 3.027 Å, I = 79.7, (2 0 0); 43.11 deg, d = 2.098 Å, I = 68.8, (2 4 3); 37.23 deg, d = 2.415 Å, I = 64.9, (2 2 3); 12.07 deg, d = 7.335 Å, I = 64.0, (0 2 0); 38.95 deg, d = 2.312 Å, I = 41.9, (1 5 3); 37.58 deg, d = 2.393 Å, I = 29.0, (0 0 6); 48.48 deg, d = 1.878 Å, I = 28.2, (2 0 6)

***

Simulated powder diffraction line list of Tl2HgBr6 for Cu Kα, 1.54184 Å, from a cell relaxed with PBE.

```
data_Tl2HgBr6
_chemical_formula_sum 'Tl8 Hg4 Br24'
_cell_length_a 15.051
_cell_length_b 14.313
_cell_length_c 8.558
_cell_angle_alpha 90.00
_cell_angle_beta 113.50
_cell_angle_gamma 90.00
_space_group_name_H-M_alt 'C 1 2/c 1'
_space_group_IT_number 15
_space_group_name_Hall '-C 2yc'
loop_
_atom_site_label
_atom_site_type_symbol
_atom_site_fract_x
_atom_site_fract_y
_atom_site_fract_z
_atom_site_occupancy
Tl1 Tl 0.230 0.087 0.442 1
Hg1 Hg 0.000 0.335 0.250 1
Br1 Br 0.076 0.026 0.122 1
Br2 Br 0.119 0.255 0.538 1
Br3 Br 0.137 0.439 0.196 1
```

Main lines, in order of falling intensity (10 to 80 degrees two-theta):
12.20 deg, d = 7.254 Å, I = 100.0, (1 1 -1); 26.03 deg, d = 3.424 Å, I = 41.1, (3 3 -1); 26.74 deg, d = 3.334 Å, I = 22.1, (1 1 2); 36.57 deg, d = 2.457 Å, I = 21.7, (6 0 -2); 29.57 deg, d = 3.021 Å, I = 20.9, (4 2 -2); 36.11 deg, d = 2.487 Å, I = 18.4, (4 4 0); 21.41 deg, d = 4.150 Å, I = 18.3, (1 3 -1); 30.37 deg, d = 2.943 Å, I = 16.7, (2 0 2); 44.46 deg, d = 2.038 Å, I = 14.3, (0 6 2); 19.69 deg, d = 4.509 Å, I = 12.8, (1 3 0)

***

Simulated powder diffraction line list of TlHg2Br for Cu Kα, 1.54184 Å, from a cell relaxed with PBE.

```
data_TlHg2Br
_chemical_formula_sum 'Tl4 Hg8 Br4'
_cell_length_a 9.193
_cell_length_b 9.193
_cell_length_c 6.394
_cell_angle_alpha 90.00
_cell_angle_beta 90.00
_cell_angle_gamma 90.00
_space_group_name_H-M_alt 'I -4 2 d'
_space_group_IT_number 122
_space_group_name_Hall 'I -4 2bw'
loop_
_atom_site_label
_atom_site_type_symbol
_atom_site_fract_x
_atom_site_fract_y
_atom_site_fract_z
_atom_site_occupancy
Tl1 Tl 0.000 0.000 0.000 1
Hg1 Hg 0.243 0.250 0.125 1
Br1 Br 0.000 0.000 0.500 1
```

Main lines, in order of falling intensity (10 to 80 degrees two-theta):
27.44 deg, d = 3.250 Å, I = 100.0, (2 2 0); 31.18 deg, d = 2.869 Å, I = 74.9, (1 1 2); 42.01 deg, d = 2.151 Å, I = 66.9, (3 1 2); 39.20 deg, d = 2.298 Å, I = 39.2, (4 0 0); 58.80 deg, d = 1.570 Å, I = 24.8, (5 1 2); 75.31 deg, d = 1.262 Å, I = 23.8, (4 2 4); 61.41 deg, d = 1.510 Å, I = 21.5, (2 0 4); 50.91 deg, d = 1.794 Å, I = 19.1, (3 3 2); 64.06 deg, d = 1.454 Å, I = 18.5, (6 2 0); 66.08 deg, d = 1.414 Å, I = 17.5, (5 3 2)

***

Simulated powder diffraction line list of Tl4Hg12Br for Cu Kα, 1.54184 Å, from a cell relaxed with PBE.

```
data_Tl4Hg12Br
_chemical_formula_sum 'Tl4 Hg12 Br1'
_cell_length_a 6.217
_cell_length_b 7.787
_cell_length_c 11.755
_cell_angle_alpha 76.48
_cell_angle_beta 78.83
_cell_angle_gamma 85.05
_space_group_name_H-M_alt 'P -1'
_space_group_IT_number 2
_space_group_name_Hall '-P 1'
loop_
_atom_site_label
_atom_site_type_symbol
_atom_site_fract_x
_atom_site_fract_y
_atom_site_fract_z
_atom_site_occupancy
Tl1 Tl 0.000 0.000 0.000 1
Tl2 Tl 0.000 0.500 0.500 1
Tl3 Tl 0.500 0.000 0.500 1
Tl4 Tl 0.500 0.500 0.000 1
Hg1 Hg 0.047 0.410 0.884 1
Hg2 Hg 0.088 0.907 0.370 1
Hg3 Hg 0.219 0.798 0.798 1
Hg4 Hg 0.227 0.305 0.275 1
Hg5 Hg 0.374 0.192 0.723 1
Hg6 Hg 0.413 0.585 0.606 1
Br1 Br 0.500 0.000 0.000 1
```

Main lines, in order of falling intensity (10 to 80 degrees two-theta):
38.99 deg, d = 2.310 Å, I = 100.0, (-1 3 1); 31.31 deg, d = 2.857 Å, I = 80.3, (0 2 -2); 30.64 deg, d = 2.917 Å, I = 70.1, (-1 1 3); 30.77 deg, d = 2.906 Å, I = 60.8, (2 0 2); 37.09 deg, d = 2.424 Å, I = 44.3, (2 2 0); 49.28 deg, d = 1.849 Å, I = 20.5, (1 1 -5); 15.25 deg, d = 5.811 Å, I = 15.1, (1 0 1); 48.50 deg, d = 1.877 Å, I = 14.5, (-3 1 1); 27.24 deg, d = 3.273 Å, I = 13.9, (1 2 2); 50.97 deg, d = 1.792 Å, I = 13.6, (2 -2 4)

***

Simulated powder diffraction line list of HgWBr5 for Cu Kα, 1.54184 Å, from a cell relaxed with PBE.

```
data_HgWBr5
_chemical_formula_sum 'Hg4 W4 Br20'
_cell_length_a 8.770
_cell_length_b 9.713
_cell_length_c 12.197
_cell_angle_alpha 90.00
_cell_angle_beta 90.00
_cell_angle_gamma 90.00
_space_group_name_H-M_alt 'I m m a'
_space_group_IT_number 74
_space_group_name_Hall '-I 2b 2'
loop_
_atom_site_label
_atom_site_type_symbol
_atom_site_fract_x
_atom_site_fract_y
_atom_site_fract_z
_atom_site_occupancy
Hg1 Hg 0.000 0.250 0.142 1
W1 W 0.000 0.000 0.500 1
Br1 Br 0.000 0.073 0.694 1
Br2 Br 0.000 0.250 0.421 1
Br3 Br 0.217 0.000 0.000 1
```

Main lines, in order of falling intensity (10 to 80 degrees two-theta):
20.25 deg, d = 4.385 Å, I = 100.0, (2 0 0); 22.16 deg, d = 4.012 Å, I = 76.5, (1 2 1); 34.74 deg, d = 2.582 Å, I = 75.8, (0 2 4); 35.24 deg, d = 2.546 Å, I = 66.2, (2 3 1); 23.42 deg, d = 3.799 Å, I = 64.2, (0 2 2); 12.43 deg, d = 7.120 Å, I = 63.3, (1 0 1); 19.95 deg, d = 4.450 Å, I = 53.6, (1 1 2); 36.63 deg, d = 2.453 Å, I = 52.8, (3 2 1); 31.43 deg, d = 2.847 Å, I = 49.2, (3 0 1); 14.52 deg, d = 6.098 Å, I = 47.4, (0 0 2)

***

Simulated powder diffraction line list of Y2HgBr for Cu Kα, 1.54184 Å, from a cell relaxed with PBE.

```
data_Y2HgBr
_chemical_formula_sum 'Y4 Hg2 Br2'
_cell_length_a 11.789
_cell_length_b 3.565
_cell_length_c 5.069
_cell_angle_alpha 90.00
_cell_angle_beta 90.04
_cell_angle_gamma 90.00
_space_group_name_H-M_alt 'C 1 m 1'
_space_group_IT_number 8
_space_group_name_Hall 'C -2y'
loop_
_atom_site_label
_atom_site_type_symbol
_atom_site_fract_x
_atom_site_fract_y
_atom_site_fract_z
_atom_site_occupancy
Y1 Y 0.000 0.000 0.000 1
Y2 Y 0.241 0.500 0.499 1
Hg1 Hg 0.263 0.000 0.999 1
Br1 Br 0.498 0.000 0.500 1
```

Main lines, in order of falling intensity (10 to 80 degrees two-theta):
31.61 deg, d = 2.831 Å, I = 100.0, (1 1 1); 38.44 deg, d = 2.342 Å, I = 66.7, (3 1 -1); 30.33 deg, d = 2.947 Å, I = 52.0, (4 0 0); 35.41 deg, d = 2.535 Å, I = 36.1, (0 0 2); 47.30 deg, d = 1.922 Å, I = 30.2, (4 0 2); 49.74 deg, d = 1.833 Å, I = 24.3, (5 1 1); 63.84 deg, d = 1.458 Å, I = 20.4, (0 2 2); 72.31 deg, d = 1.307 Å, I = 18.2, (4 2 2); 15.03 deg, d = 5.894 Å, I = 16.7, (2 0 0); 61.21 deg, d = 1.514 Å, I = 14.9, (1 1 3)

***

Copy entry 4 word for word.
Simulated powder diffraction line list of Tl2HgBr6 for Cu Kα, 1.54184 Å, from a cell relaxed with PBE.

```
data_Tl2HgBr6
_chemical_formula_sum 'Tl8 Hg4 Br24'
_cell_length_a 15.051
_cell_length_b 14.313
_cell_length_c 8.558
_cell_angle_alpha 90.00
_cell_angle_beta 113.50
_cell_angle_gamma 90.00
_space_group_name_H-M_alt 'C 1 2/c 1'
_space_group_IT_number 15
_space_group_name_Hall '-C 2yc'
loop_
_atom_site_label
_atom_site_type_symbol
_atom_site_fract_x
_atom_site_fract_y
_atom_site_fract_z
_atom_site_occupancy
Tl1 Tl 0.230 0.087 0.442 1
Hg1 Hg 0.000 0.335 0.250 1
Br1 Br 0.076 0.026 0.122 1
Br2 Br 0.119 0.255 0.538 1
Br3 Br 0.137 0.439 0.196 1
```

Main lines, in order of falling intensity (10 to 80 degrees two-theta):
12.20 deg, d = 7.254 Å, I = 100.0, (1 1 -1); 26.03 deg, d = 3.424 Å, I = 41.1, (3 3 -1); 26.74 deg, d = 3.334 Å, I = 22.1, (1 1 2); 36.57 deg, d = 2.457 Å, I = 21.7, (6 0 -2); 29.57 deg, d = 3.021 Å, I = 20.9, (4 2 -2); 36.11 deg, d = 2.487 Å, I = 18.4, (4 4 0); 21.41 deg, d = 4.150 Å, I = 18.3, (1 3 -1); 30.37 deg, d = 2.943 Å, I = 16.7, (2 0 2); 44.46 deg, d = 2.038 Å, I = 14.3, (0 6 2); 19.69 deg, d = 4.509 Å, I = 12.8, (1 3 0)